(1)
For ScInPd2, a cell relaxed with PBE gives the calculated powder X-ray diffraction pattern in this record (Cu Kα (λ = 1.5418 Å)).
No peak broadening, texture or thermal motion is included.

Atomic structure:
```
data_ScInPd2
_symmetry_space_group_name_H-M 'P 1'
_symmetry_Int_Tables_number 1
_symmetry_space_group_name_Hall 'P 1'
_cell_length_a 3.346
_cell_length_b 3.346
_cell_length_c 6.481
_cell_angle_alpha 90.00
_cell_angle_beta 90.00
_cell_angle_gamma 90.00
loop_
_atom_site_label
_atom_site_type_symbol
_atom_site_fract_x
_atom_site_fract_y
_atom_site_fract_z
Sc1 Sc 0.000 0.000 0.000
In1 In 0.000 0.000 0.500
Pd1 Pd 0.500 0.500 0.244
Pd2 Pd 0.500 0.500 0.756
```

Main lines, in order of rising 2θ (10° ≤ 2θ ≤ 80°):
d_spacing	I/Imax
6.481	8
2.973	9
2.366	53
2.328	100
1.673	18
1.620	9
1.359	34
1.337	16

---

(2)
For Ga4Bi3As, a cell relaxed with PBE gives the calculated powder X-ray diffraction pattern in this record (Cu Kα (λ = 1.5418 Å)).
No peak broadening, texture or thermal motion is included.

Atomic structure:
```
data_Ga4Bi3As
_symmetry_space_group_name_H-M 'P 1'
_symmetry_Int_Tables_number 1
_symmetry_space_group_name_Hall 'P 1'
_cell_length_a 14.574
_cell_length_b 14.574
_cell_length_c 14.574
_cell_angle_alpha 17.76
_cell_angle_beta 17.76
_cell_angle_gamma 17.76
loop_
_atom_site_label
_atom_site_type_symbol
_atom_site_fract_x
_atom_site_fract_y
_atom_site_fract_z
Ga1 Ga 0.000 0.000 0.000
Ga2 Ga 0.246 0.246 0.246
Ga3 Ga 0.494 0.494 0.494
Ga4 Ga 0.741 0.741 0.741
Bi1 Bi 0.310 0.310 0.310
Bi2 Bi 0.558 0.558 0.558
Bi3 Bi 0.806 0.806 0.806
As1 As 0.058 0.058 0.058
```

Main lines, in order of rising 2θ (10° ≤ 2θ ≤ 80°):
d_spacing	I/Imax
3.664	100
3.585	32
3.156	20
2.250	48
2.213	43
1.917	17
1.906	34
1.292	16